[1]
Structure and simulated powder diffraction line list of CrCoH18C6N12 (a DFT-relaxed cell (GGA-PBE, the Materials Project); Cu Kα (weighted mean of Kα1 and Kα2)).
Peak positions follow from Bragg's law for the DFT cell and can differ from measured ones.

Principal peaks in the range 2θ from 10° to 90°, low angle first:
2θ = 15.93°, rel. 100
2θ = 18.44°, rel. 59
2θ = 24.45°, rel. 11
2θ = 29.32°, rel. 81
2θ = 37.35°, rel. 12
2θ = 40.85°, rel. 28
2θ = 43.01°, rel. 13
2θ = 44.08°, rel. 11
2θ = 47.19°, rel. 16
2θ = 52.92°, rel. 14

a = 11.1287 Å, b = 11.1287 Å, c = 11.1098 Å
α = 90.00°, β = 90.00°, γ = 120.00°
Space group R-3 (No. 148, hexagonal axes)
Inequivalent atoms, fractional coordinates:
1 Cr 0.0000 0.0000 0.0000
2 Co 0.0000 0.0000 0.5000
3 H 0.0034 0.8707 0.3100
4 H 0.0143 0.7875 0.4286
5 H 0.0941 0.8634 0.6114
6 C 0.0218 0.1594 0.1067
7 N 0.0329 0.1588 0.6039
8 N 0.0382 0.2512 0.1699

[2]
Structure and simulated powder diffraction line list of SiO2 (a DFT-relaxed cell (GGA-PBE, the Materials Project); Cu Kα (weighted mean of Kα1 and Kα2)).
Peak positions follow from Bragg's law for the DFT cell and can differ from measured ones.

Principal peaks in the range 2θ from 10° to 90°, low angle first:
2θ = 11.65°, rel. 38
2θ = 12.27°, rel. 52
2θ = 13.97°, rel. 40
2θ = 14.93°, rel. 98
2θ = 15.43°, rel. 91
2θ = 18.70°, rel. 58
2θ = 19.26°, rel. 44
2θ = 23.23°, rel. 51
2θ = 24.68°, rel. 100
2θ = 25.26°, rel. 49

a = 14.4258 Å, b = 18.9844 Å, c = 7.5984 Å
α = 90.00°, β = 90.00°, γ = 90.00°
Space group Cmmm (No. 65)
Inequivalent atoms, fractional coordinates:
1 Si 0.0000 0.1491 0.2050
2 Si 0.0000 0.2684 0.5000
3 Si 0.1988 0.0823 0.2063
4 Si 0.2020 0.3271 0.5000
5 O 0.0000 0.1739 0.0000
6 O 0.0000 0.2195 0.3246
7 O 0.0903 0.3190 0.5000
8 O 0.0909 0.1015 0.2479
9 O 0.2160 0.0000 0.2546
10 O 0.2220 0.0971 0.0000
11 O 0.2324 0.3697 0.3240
12 O 0.2500 0.2500 0.5000

[3]
Structure and simulated powder diffraction line list of KMg2P2O8 (a DFT-relaxed cell (GGA-PBE, the Materials Project); Cu Kα (weighted mean of Kα1 and Kα2)).
Peak positions follow from Bragg's law for the DFT cell and can differ from measured ones.

Principal peaks in the range 2θ from 10° to 90°, low angle first:
2θ = 18.41°, rel. 57
2θ = 21.39°, rel. 100
2θ = 21.68°, rel. 46
2θ = 25.05°, rel. 15
2θ = 28.59°, rel. 92
2θ = 32.17°, rel. 69
2θ = 38.97°, rel. 27
2θ = 44.20°, rel. 15
2θ = 46.59°, rel. 23
2θ = 55.18°, rel. 17

a = 19.0097 Å, b = 5.5683 Å, c = 9.6290 Å
α = 90.00°, β = 120.40°, γ = 90.00°
Space group C2/c (No. 15)
Inequivalent atoms, fractional coordinates:
1 K 0.0000 0.2457 0.2500
2 Mg 0.1512 0.2942 0.0659
3 P 0.1383 0.2057 0.7207
4 O 0.1042 0.2567 0.8337
5 O 0.1064 0.4008 0.5878
6 O 0.1073 0.0425 0.1414
7 O 0.2319 0.2119 0.8177

[4]
Structure and simulated powder diffraction line list of Sm3NbO7 (a DFT-relaxed cell (GGA-PBE, the Materials Project); Cu Kα (weighted mean of Kα1 and Kα2)).
Peak positions follow from Bragg's law for the DFT cell and can differ from measured ones.

Principal peaks in the range 2θ from 10° to 90°, low angle first:
2θ = 28.39°, rel. 92
2θ = 28.69°, rel. 100
2θ = 33.07°, rel. 66
2θ = 47.47°, rel. 46
2θ = 47.85°, rel. 17
2θ = 51.68°, rel. 10
2θ = 56.06°, rel. 12
2θ = 56.42°, rel. 10
2θ = 56.58°, rel. 25
2θ = 59.40°, rel. 10

a = 7.6038 Å, b = 10.8323 Å, c = 7.7228 Å
α = 90.00°, β = 90.00°, γ = 90.00°
Space group Pnma (No. 62)
Inequivalent atoms, fractional coordinates:
1 Sm 0.0148 0.2500 0.2017
2 Sm 0.2501 0.0227 0.5373
3 Nb 0.0043 0.2500 0.7464
4 O 0.0362 0.1258 0.9512
5 O 0.0408 0.6118 0.4083
6 O 0.2431 0.6166 0.7684
7 O 0.2483 0.2500 0.6682

[5]
Structure and simulated powder diffraction line list of DyAlCo (a DFT-relaxed cell (GGA-PBE, the Materials Project); Cu Kα (weighted mean of Kα1 and Kα2)).
Peak positions follow from Bragg's law for the DFT cell and can differ from measured ones.

Principal peaks in the range 2θ from 10° to 90°, low angle first:
2θ = 19.12°, rel. 22
2θ = 19.39°, rel. 19
2θ = 28.75°, rel. 21
2θ = 33.27°, rel. 28
2θ = 33.76°, rel. 43
2θ = 37.67°, rel. 73
2θ = 37.82°, rel. 28
2θ = 39.83°, rel. 26
2θ = 40.28°, rel. 100
2θ = 40.88°, rel. 17

a = 8.3530 Å, b = 5.3852 Å, c = 9.1547 Å
α = 90.00°, β = 90.00°, γ = 90.00°
Space group Amm2 (No. 38)
Inequivalent atoms, fractional coordinates:
1 Dy 0.1746 0.0000 0.0000
2 Dy 0.2978 0.0000 0.3368
3 Al 0.2307 0.0000 0.6743
4 Al 0.5000 0.2476 0.0839
5 Co 0.0000 0.0000 0.4980
6 Co 0.0000 0.2402 0.2593
7 Co 0.5000 0.0000 0.8381

[6]
Structure and simulated powder diffraction line list of BaH4O6 (a DFT-relaxed cell (GGA-PBE, the Materials Project); Cu Kα (weighted mean of Kα1 and Kα2)).
Peak positions follow from Bragg's law for the DFT cell and can differ from measured ones.

Principal peaks in the range 2θ from 10° to 90°, low angle first:
2θ = 19.71°, rel. 100
2θ = 20.95°, rel. 26
2θ = 21.12°, rel. 93
2θ = 28.45°, rel. 24
2θ = 31.83°, rel. 23
2θ = 35.16°, rel. 45
2θ = 35.28°, rel. 43
2θ = 35.41°, rel. 48
2θ = 36.20°, rel. 26
2θ = 37.83°, rel. 41

a = 8.4648 Å, b = 6.3606 Å, c = 8.5471 Å
α = 90.00°, β = 97.25°, γ = 90.00°
Space group Cc (No. 9)
Inequivalent atoms, fractional coordinates:
1 Ba 0.0000 0.1979 0.0000
2 H 0.0838 0.2868 0.3762
3 H 0.2007 0.4771 0.7023
4 H 0.2951 0.0178 0.8002
5 H 0.4098 0.2182 0.1275
6 O 0.0280 0.4290 0.6938
7 O 0.1703 0.1755 0.4250
8 O 0.1712 0.0234 0.2931
9 O 0.3233 0.4858 0.2061
10 O 0.3247 0.3327 0.0752
11 O 0.4617 0.0622 0.8140

[7]
Structure and simulated powder diffraction line list of Ba4In2O7 (a DFT-relaxed cell (GGA-PBE, the Materials Project); Cu Kα (weighted mean of Kα1 and Kα2)).
Peak positions follow from Bragg's law for the DFT cell and can differ from measured ones.

Principal peaks in the range 2θ from 10° to 90°, low angle first:
2θ = 12.18°, rel. 22
2θ = 26.06°, rel. 25
2θ = 29.88°, rel. 73
2θ = 30.17°, rel. 100
2θ = 39.02°, rel. 13
2θ = 42.77°, rel. 37
2θ = 48.37°, rel. 12
2θ = 53.22°, rel. 41
2θ = 62.08°, rel. 12
2θ = 70.41°, rel. 12

a = 4.2289 Å, b = 4.2289 Å, c = 29.0556 Å
α = 90.00°, β = 90.00°, γ = 90.00°
Space group I4mm (No. 107)
Inequivalent atoms, fractional coordinates:
1 Ba 0.0000 0.0000 0.0000
2 Ba 0.0000 0.0000 0.1273
3 Ba 0.0000 0.0000 0.7245
4 Ba 0.0000 0.0000 0.8721
5 In 0.0000 0.0000 0.2985
6 In 0.0000 0.0000 0.5609
7 O 0.0000 0.0000 0.2272
8 O 0.0000 0.0000 0.4800
9 O 0.0000 0.0000 0.6430
10 O 0.0000 0.5000 0.0631
11 O 0.0000 0.5000 0.3213

[8]
Structure and simulated powder diffraction line list of CdH12C2S2N8Cl2 (a DFT-relaxed cell (GGA-PBE, the Materials Project); Cu Kα (weighted mean of Kα1 and Kα2)).
Peak positions follow from Bragg's law for the DFT cell and can differ from measured ones.

Principal peaks in the range 2θ from 10° to 90°, low angle first:
2θ = 11.63°, rel. 34
2θ = 12.95°, rel. 45
2θ = 14.31°, rel. 61
2θ = 16.08°, rel. 100
2θ = 17.55°, rel. 26
2θ = 23.43°, rel. 77
2θ = 24.82°, rel. 34
2θ = 27.56°, rel. 23
2θ = 35.39°, rel. 21
2θ = 46.44°, rel. 21

a = 8.8919 Å, b = 6.1585 Å, c = 14.4635 Å
α = 90.00°, β = 121.17°, γ = 90.00°
Space group P2_1/c (No. 14)
Inequivalent atoms, fractional coordinates:
1 Cd 0.0000 0.0000 0.0000
2 H 0.0843 0.0979 0.4273
3 H 0.1177 0.1974 0.8654
4 H 0.2263 0.7083 0.8566
5 H 0.3078 0.5825 0.7893
6 H 0.3439 0.5177 0.2929
7 H 0.3895 0.1127 0.5135
8 C 0.4095 0.0978 0.0849
9 S 0.3245 0.6411 0.5971
10 N 0.1377 0.2478 0.9388
11 N 0.3178 0.2412 0.5151
12 N 0.3394 0.6736 0.8566
13 N 0.4162 0.6301 0.3520
14 Cl 0.0790 0.2048 0.6639

Repeat the second record exactly.
Structure and simulated powder diffraction line list of SiO2 (a DFT-relaxed cell (GGA-PBE, the Materials Project); Cu Kα (weighted mean of Kα1 and Kα2)).
Peak positions follow from Bragg's law for the DFT cell and can differ from measured ones.

Principal peaks in the range 2θ from 10° to 90°, low angle first:
2θ = 11.65°, rel. 38
2θ = 12.27°, rel. 52
2θ = 13.97°, rel. 40
2θ = 14.93°, rel. 98
2θ = 15.43°, rel. 91
2θ = 18.70°, rel. 58
2θ = 19.26°, rel. 44
2θ = 23.23°, rel. 51
2θ = 24.68°, rel. 100
2θ = 25.26°, rel. 49

a = 14.4258 Å, b = 18.9844 Å, c = 7.5984 Å
α = 90.00°, β = 90.00°, γ = 90.00°
Space group Cmmm (No. 65)
Inequivalent atoms, fractional coordinates:
1 Si 0.0000 0.1491 0.2050
2 Si 0.0000 0.2684 0.5000
3 Si 0.1988 0.0823 0.2063
4 Si 0.2020 0.3271 0.5000
5 O 0.0000 0.1739 0.0000
6 O 0.0000 0.2195 0.3246
7 O 0.0903 0.3190 0.5000
8 O 0.0909 0.1015 0.2479
9 O 0.2160 0.0000 0.2546
10 O 0.2220 0.0971 0.0000
11 O 0.2324 0.3697 0.3240
12 O 0.2500 0.2500 0.5000